(1)
For Pm2AgIr, DFT lattice parameters and positions (PBE) gives the computed X-ray diffraction stick pattern in this record (λ = 1.5418 Å (Cu Kα)).
Neutral-atom scattering factors, no anomalous dispersion.

Structure:
a b c (Å): 5.1095 5.1095 5.1095
angles (deg): 60.00 60.00 60.00
Atoms (fractional coordinates):
1 Pm 0.2500 0.2500 0.2500
2 Pm 0.7500 0.7500 0.7500
3 Ag 0.0000 0.0000 0.0000
4 Ir 0.5000 0.5000 0.5000

Top 10 peaks for 2θ = 10–90°, low angle first:
2θ/deg	Rel. int.
21.30	4
35.13	100
41.45	2
50.52	18
55.43	1
63.02	36
67.33	1
74.24	11
78.27	1
84.87	16

(2)
For Sc2AgIr, DFT lattice parameters and positions (PBE) gives the computed X-ray diffraction stick pattern in this record (λ = 1.5418 Å (Cu Kα)).
Neutral-atom scattering factors, no anomalous dispersion.

Structure:
a b c (Å): 4.6993 4.6993 4.6993
angles (deg): 60.00 60.00 60.00
Atoms (fractional coordinates):
1 Sc 0.2500 0.2500 0.2500
2 Sc 0.7500 0.7500 0.7500
3 Ag 0.0000 0.0000 0.0000
4 Ir 0.5000 0.5000 0.5000

Top 10 peaks for 2θ = 10–90°, low angle first:
2θ/deg	Rel. int.
23.18	9
26.83	37
38.31	100
45.25	5
47.39	11
55.29	17
62.50	15
69.26	33
82.02	10
88.21	8